No. 1
For DyUTe, a crystal structure in Alexandria, relaxed with GGA-PBE gives the computed powder diffractogram in this record (Cu Ka).
Intensities are scaled so that the largest is 100.

Peak list (10 most intense, 2θ from 5° to 70°, low angle first)
two_theta	d_spacing	I (rel.)	hkl
10.8	8.158	21	2 0 0
17.3	5.115	13	0 0 1
32.5	2.756	100	3 1 -1
32.9	2.719	57	6 0 0
35.1	2.558	29	0 0 2
35.4	2.539	84	3 1 1
48.6	1.872	20	0 2 0
56.6	1.625	19	9 1 -1
60.0	1.542	21	6 2 0
62.2	1.492	17	9 1 1

Structure:
```
data_DyUTe
_chemical_formula_sum 'Dy4 U4 Te4'
_space_group_name_H-M_alt 'C 1 2/m 1'
_space_group_IT_number 12
_cell_length_a 16.5372
_cell_length_b 3.7436
_cell_length_c 5.1842
_cell_angle_alpha 90.00
_cell_angle_beta 99.39
_cell_angle_gamma 90.00
loop_
_space_group_symop_operation_xyz
'x,y,z'
'-x,-y,-z'
'-x,y,-z'
'x,-y,z'
'x+1/2,y+1/2,z'
'-x+1/2,-y+1/2,-z'
'-x+1/2,y+1/2,-z'
'x+1/2,-y+1/2,z'
loop_
_atom_site_label
_atom_site_type_symbol
_atom_site_fract_x
_atom_site_fract_y
_atom_site_fract_z
Dy1 Dy 0.0847 0.0000 0.2807
U1 U 0.2465 0.0000 0.8347
Te1 Te 0.0845 0.5000 0.7857
```



No. 2
For CeTeRhO6, a crystal structure in Alexandria, relaxed with GGA-PBE gives the computed powder diffractogram in this record (Cu Ka).
Intensities are scaled so that the largest is 100.

Peak list (10 most intense, 2θ from 5° to 70°, low angle first)
two_theta	d_spacing	I (rel.)	hkl
25.3	3.524	100	1 1 0
32.8	2.731	78	1 0 3
36.0	2.492	23	2 0 0
37.6	2.395	4	1 1 3
49.5	1.841	66	2 1 3
51.9	1.762	17	2 2 0
56.4	1.633	7	0 0 6
58.6	1.576	16	3 1 0
62.7	1.481	35	3 0 3
68.7	1.366	8	2 0 6

Structure:
```
data_CeTeRhO6
_chemical_formula_sum 'Ce2 Te2 Rh2 O12'
_space_group_name_H-M_alt 'P 42 n m'
_space_group_IT_number 102
_cell_length_a 4.9839
_cell_length_b 4.9839
_cell_length_c 9.7963
_cell_angle_alpha 90.00
_cell_angle_beta 90.00
_cell_angle_gamma 90.00
loop_
_space_group_symop_operation_xyz
'x,y,z'
'-y+1/2,x+1/2,z+1/2'
'-x,-y,z'
'y+1/2,-x+1/2,z+1/2'
'-x+1/2,y+1/2,z+1/2'
'y,x,z'
'x+1/2,-y+1/2,z+1/2'
'-y,-x,z'
loop_
_atom_site_label
_atom_site_type_symbol
_atom_site_fract_x
_atom_site_fract_y
_atom_site_fract_z
Ce1 Ce 0.0000 0.0000 0.0000
Te1 Te 0.0000 0.0000 0.6634
Rh1 Rh 0.0000 0.0000 0.3277
O1 O 0.1782 0.1782 0.4929
O2 O 0.2029 0.2029 0.8174
O3 O 0.2035 0.2035 0.1713
```



No. 3
For PdWS2, a crystal structure in Alexandria, relaxed with GGA-PBE gives the computed powder diffractogram in this record (Cu Ka).
Intensities are scaled so that the largest is 100.

Peak list (10 most intense, 2θ from 5° to 70°, low angle first)
two_theta	d_spacing	I (rel.)	hkl
11.8	7.469	73	0 0 1
23.8	3.735	100	0 0 2
32.2	2.780	67	0 2 -1
32.3	2.768	34	1 1 0
34.1	2.631	38	-1 1 1
35.5	2.528	28	0 2 1
36.2	2.481	29	1 1 1
43.4	2.084	23	1 1 2
44.9	2.017	27	0 2 -3
48.8	1.867	33	0 0 4

Structure:
```
data_PdWS2
_chemical_formula_sum 'Pd2 W2 S4'
_space_group_name_H-M_alt 'P 1'
_space_group_IT_number 1
_cell_length_a 3.2147
_cell_length_b 5.7146
_cell_length_c 7.5738
_cell_angle_alpha 98.17
_cell_angle_beta 94.84
_cell_angle_gamma 90.24
loop_
_space_group_symop_operation_xyz
'x,y,z'
loop_
_atom_site_label
_atom_site_type_symbol
_atom_site_fract_x
_atom_site_fract_y
_atom_site_fract_z
Pd1 Pd 0.0000 0.0000 0.0000
Pd2 Pd 0.1218 0.5076 0.0188
W1 W 0.3847 0.2120 0.5152
W2 W 0.8780 0.8135 0.5239
S1 S 0.3266 0.5597 0.3334
S2 S 0.4172 0.9756 0.7504
S3 S 0.8489 0.0589 0.2932
S4 S 0.9331 0.4672 0.7053
```



No. 4
For La3As, a crystal structure in Alexandria, relaxed with GGA-PBE gives the computed powder diffractogram in this record (Cu Ka).
Intensities are scaled so that the largest is 100.

Peak list (10 most intense, 2θ from 5° to 70°, low angle first)
two_theta	d_spacing	I (rel.)	hkl
27.2	3.279	17	0 0 9
28.1	3.180	100	1 0 4
29.5	3.026	22	0 1 5
33.1	2.704	8	1 0 7
35.2	2.548	33	0 1 8
44.5	2.034	33	1 1 0
47.6	1.909	13	1 0 13
50.4	1.809	8	0 1 14
53.0	1.729	17	1 1 9
53.5	1.714	16	0 2 4

Structure:
```
data_La3As
_chemical_formula_sum 'La9 As3'
_space_group_name_H-M_alt 'R -3 m'
_space_group_IT_number 166
_space_group_name_Hall '-R 3 2"'
_cell_length_a 4.0689
_cell_length_b 4.0689
_cell_length_c 29.5140
_cell_angle_alpha 90.00
_cell_angle_beta 90.00
_cell_angle_gamma 120.00
loop_
_atom_site_label
_atom_site_type_symbol
_atom_site_fract_x
_atom_site_fract_y
_atom_site_fract_z
La1 La 0.0000 0.0000 0.0000
La2 La 0.0000 0.0000 0.2289
As1 As 0.0000 0.0000 0.5000
```



No. 5
For Mg2H5Ir2, a crystal structure in Alexandria, relaxed with GGA-PBE gives the computed powder diffractogram in this record (Cu Ka).
Intensities are scaled so that the largest is 100.

Peak list (10 most intense, 2θ from 5° to 70°, low angle first)
two_theta	d_spacing	I (rel.)	hkl
22.8	3.900	100	0 0 2
26.2	3.402	90	0 1 1
29.5	3.026	68	1 0 0
30.9	2.895	41	0 1 2
33.8	2.653	33	1 0 2
38.7	2.325	75	0 1 3
39.0	2.310	90	1 1 1
41.1	2.194	65	1 0 -2
45.6	1.988	48	1 -1 2
61.4	1.510	25	1 0 5

Structure:
```
data_Mg2H5Ir2
_chemical_formula_sum 'Mg2 H5 Ir2'
_space_group_name_H-M_alt 'P 1'
_space_group_IT_number 1
_cell_length_a 3.0850
_cell_length_b 3.4854
_cell_length_c 8.1330
_cell_angle_alpha 77.73
_cell_angle_beta 79.20
_cell_angle_gamma 90.00
loop_
_space_group_symop_operation_xyz
'x,y,z'
loop_
_atom_site_label
_atom_site_type_symbol
_atom_site_fract_x
_atom_site_fract_y
_atom_site_fract_z
Mg1 Mg 0.0000 0.0000 0.0000
Mg2 Mg 0.2138 0.2171 0.5638
H1 H 0.3680 0.8671 0.2689
H2 H 0.5066 0.5068 0.9876
H3 H 0.6097 0.1121 0.7779
H4 H 0.7209 0.7252 0.5503
H5 H 0.8364 0.3372 0.3305
Ir1 Ir 0.3922 0.3922 0.2178
Ir2 Ir 0.6160 0.6190 0.7638
```



No. 6
For NaPmAgBr5, a crystal structure in Alexandria, relaxed with GGA-PBE gives the computed powder diffractogram in this record (Cu Ka).
Intensities are scaled so that the largest is 100.

Peak list (10 most intense, 2θ from 5° to 70°, low angle first)
two_theta	d_spacing	I (rel.)	hkl
13.0	6.799	73	1 1 0
13.4	6.632	40	1 1 -1
17.9	4.953	37	1 1 1
18.6	4.763	71	1 1 -2
22.1	4.024	89	0 2 2
25.0	3.567	100	2 2 -1
25.7	3.465	86	1 3 1
32.0	2.793	53	1 3 -3
37.2	2.414	44	1 5 -2
46.4	1.957	59	2 6 -2

Structure:
```
data_NaPmAgBr5
_chemical_formula_sum 'Na4 Pm4 Ag4 Br20'
_space_group_name_H-M_alt 'C 1 2/c 1'
_space_group_IT_number 15
_cell_length_a 8.3595
_cell_length_b 13.7180
_cell_length_c 10.6150
_cell_angle_alpha 90.00
_cell_angle_beta 110.54
_cell_angle_gamma 90.00
loop_
_space_group_symop_operation_xyz
'x,y,z'
'-x,-y,-z'
'-x,y,-z+1/2'
'x,-y,z+1/2'
'x+1/2,y+1/2,z'
'-x+1/2,-y+1/2,-z'
'-x+1/2,y+1/2,-z+1/2'
'x+1/2,-y+1/2,z+1/2'
loop_
_atom_site_label
_atom_site_type_symbol
_atom_site_fract_x
_atom_site_fract_y
_atom_site_fract_z
Na1 Na 0.0000 0.0672 0.2500
Pm1 Pm 0.0000 0.5000 0.0000
Ag1 Ag 0.0000 0.2168 0.7500
Br1 Br 0.0000 0.4143 0.2500
Br2 Br 0.1666 0.0854 0.9515
Br3 Br 0.1781 0.3290 0.6362
```



No. 7
For LiMnSe3, a crystal structure in Alexandria, relaxed with GGA-PBE gives the computed powder diffractogram in this record (Cu Ka).
Intensities are scaled so that the largest is 100.

Peak list (10 most intense, 2θ from 5° to 70°, low angle first)
two_theta	d_spacing	I (rel.)	hkl
12.4	7.119	75	0 0 1
14.5	6.128	61	0 1 0
20.4	4.350	63	1 1 1
27.3	3.270	55	1 1 2
29.1	3.067	75	0 2 1
31.7	2.821	100	0 1 -2
33.9	2.647	41	1 0 -2
34.2	2.624	49	0 2 2
37.1	2.422	66	2 1 0
42.7	2.119	40	1 3 2

Structure:
```
data_LiMnSe3
_chemical_formula_sum 'Li2 Mn2 Se6'
_space_group_name_H-M_alt 'P -1'
_space_group_IT_number 2
_cell_length_a 4.9834
_cell_length_b 6.7097
_cell_length_c 7.4856
_cell_angle_alpha 73.81
_cell_angle_beta 77.12
_cell_angle_gamma 69.40
loop_
_space_group_symop_operation_xyz
'x,y,z'
'-x,-y,-z'
loop_
_atom_site_label
_atom_site_type_symbol
_atom_site_fract_x
_atom_site_fract_y
_atom_site_fract_z
Li1 Li 0.1732 0.3720 0.2393
Mn1 Mn 0.3734 0.7920 0.4176
Se1 Se 0.1772 0.1100 0.5794
Se2 Se 0.2728 0.0254 0.1006
Se3 Se 0.3910 0.5252 0.7253
```



No. 8
For K2Mg2S3, a crystal structure in Alexandria, relaxed with GGA-PBE gives the computed powder diffractogram in this record (Cu Ka).
Intensities are scaled so that the largest is 100.

Peak list (10 most intense, 2θ from 5° to 70°, low angle first)
two_theta	d_spacing	I (rel.)	hkl
25.5	3.489	100	2 0 -2
25.8	3.455	37	3 3 -1
26.9	3.318	31	1 1 -2
28.6	3.126	74	4 0 -2
31.1	2.880	74	5 1 0
31.8	2.811	29	1 5 0
33.4	2.681	94	2 4 1
35.1	2.559	32	2 0 2
37.7	2.386	31	0 6 0
43.3	2.091	48	3 3 -3

Structure:
```
data_K2Mg2S3
_chemical_formula_sum 'K16 Mg16 S24'
_space_group_name_H-M_alt 'C 1 2/c 1'
_space_group_IT_number 15
_cell_length_a 16.1477
_cell_length_b 14.3135
_cell_length_c 6.9814
_cell_angle_alpha 90.00
_cell_angle_beta 114.45
_cell_angle_gamma 90.00
loop_
_space_group_symop_operation_xyz
'x,y,z'
'-x,-y,-z'
'-x,y,-z+1/2'
'x,-y,z+1/2'
'x+1/2,y+1/2,z'
'-x+1/2,-y+1/2,-z'
'-x+1/2,y+1/2,-z+1/2'
'x+1/2,-y+1/2,z+1/2'
loop_
_atom_site_label
_atom_site_type_symbol
_atom_site_fract_x
_atom_site_fract_y
_atom_site_fract_z
K1 K 0.0000 0.0688 0.2500
K2 K 0.0000 0.2153 0.7500
K3 K 0.0956 0.4095 0.5702
Mg1 Mg 0.1912 0.2314 0.2601
Mg2 Mg 0.2212 0.0753 0.8002
S1 S 0.1189 0.3749 0.0726
S2 S 0.1499 0.2069 0.5614
S3 S 0.1652 0.0739 0.0851
```



No. 9
For HoGaSi2Ni5, a crystal structure in Alexandria, relaxed with GGA-PBE gives the computed powder diffractogram in this record (Cu Ka).
Intensities are scaled so that the largest is 100.

Peak list (10 most intense, 2θ from 5° to 70°, low angle first)
two_theta	d_spacing	I (rel.)	hkl
17.6	5.031	30	0 0 2
26.6	3.354	74	0 0 3
29.9	2.993	77	1 0 2
35.2	2.547	97	1 1 1
38.6	2.332	91	1 1 2
48.9	1.861	73	2 0 0
50.2	1.819	100	1 1 4
54.7	1.677	18	0 0 6
56.5	1.628	34	2 0 3
58.4	1.581	23	2 1 2

Structure:
```
data_HoGaSi2Ni5
_chemical_formula_sum 'Ho1 Ga1 Si2 Ni5'
_space_group_name_H-M_alt 'P 4/m m m'
_space_group_IT_number 123
_space_group_name_Hall '-P 4 2'
_cell_length_a 3.7230
_cell_length_b 3.7230
_cell_length_c 10.0617
_cell_angle_alpha 90.00
_cell_angle_beta 90.00
_cell_angle_gamma 90.00
loop_
_atom_site_label
_atom_site_type_symbol
_atom_site_fract_x
_atom_site_fract_y
_atom_site_fract_z
Ho1 Ho 0.0000 0.0000 0.0000
Ga1 Ga 0.0000 0.0000 0.5000
Si1 Si 0.5000 0.5000 0.2177
Ni1 Ni 0.0000 0.5000 0.3454
Ni2 Ni 0.5000 0.5000 0.0000
```



No. 10
For Dy3ZnOs, a crystal structure in Alexandria, relaxed with GGA-PBE gives the computed powder diffractogram in this record (Cu Ka).
Intensities are scaled so that the largest is 100.

Peak list (10 most intense, 2θ from 5° to 70°, low angle first)
two_theta	d_spacing	I (rel.)	hkl
11.2	7.891	58	0 0 2
32.0	2.800	75	1 3 1
33.0	2.712	67	1 1 5
35.7	2.512	100	2 2 2
35.9	2.502	30	1 3 3
36.2	2.479	64	2 0 4
39.1	2.303	49	0 2 6
41.0	2.200	52	2 2 4
58.3	1.582	33	1 5 5
66.1	1.414	22	2 0 10

Structure:
```
data_Dy3ZnOs
_chemical_formula_sum 'Dy24 Zn8 Os8'
_space_group_name_H-M_alt 'F m m m'
_space_group_IT_number 69
_space_group_name_Hall '-F 2 2'
_cell_length_a 6.3736
_cell_length_b 9.5374
_cell_length_c 15.7819
_cell_angle_alpha 90.00
_cell_angle_beta 90.00
_cell_angle_gamma 90.00
loop_
_atom_site_label
_atom_site_type_symbol
_atom_site_fract_x
_atom_site_fract_y
_atom_site_fract_z
Dy1 Dy 0.0000 0.0000 0.1973
Dy2 Dy 0.0000 0.1854 0.3942
Zn1 Zn 0.1933 0.0000 0.0000
Os1 Os 0.2500 0.2500 0.2500
```



No. 11
For TcNi5Rh2, a crystal structure in Alexandria, relaxed with GGA-PBE gives the computed powder diffractogram in this record (Cu Ka).
Intensities are scaled so that the largest is 100.

Peak list (10 most intense, 2θ from 5° to 70°, low angle first)
two_theta	d_spacing	I (rel.)	hkl
34.5	2.601	11	1 1 0
36.3	2.476	11	1 0 1
41.4	2.182	8	1 3 0
42.2	2.141	100	0 5 1
43.7	2.070	67	1 3 1
44.5	2.037	50	1 1 2
46.7	1.945	30	1 2 2
48.2	1.888	21	0 6 0
48.9	1.864	26	1 4 1
69.4	1.355	8	1 7 1

Structure:
```
data_TcNi5Rh2
_chemical_formula_sum 'Tc2 Ni10 Rh4'
_space_group_name_H-M_alt 'P m m n'
_space_group_IT_number 59
_cell_length_a 2.6749
_cell_length_b 11.3241
_cell_length_c 6.5447
_cell_angle_alpha 90.00
_cell_angle_beta 90.00
_cell_angle_gamma 90.00
loop_
_space_group_symop_operation_xyz
'x,y,z'
'-x,-y,-z'
'-x+1/2,-y+1/2,z'
'x+1/2,y+1/2,-z'
'x+1/2,-y,-z'
'-x+1/2,y,z'
'-x,y+1/2,-z'
'x,-y+1/2,z'
loop_
_atom_site_label
_atom_site_type_symbol
_atom_site_fract_x
_atom_site_fract_y
_atom_site_fract_z
Tc1 Tc 0.2500 0.2500 0.0386
Ni1 Ni 0.2500 0.0772 0.4286
Ni2 Ni 0.2500 0.5598 0.8778
Ni3 Ni 0.2500 0.7500 0.6255
Rh1 Rh 0.2500 0.6309 0.2503
```



No. 12
For Ac2AlGeS6, a crystal structure in Alexandria, relaxed with GGA-PBE gives the computed powder diffractogram in this record (Cu Ka).
Intensities are scaled so that the largest is 100.

Peak list (10 most intense, 2θ from 5° to 70°, low angle first)
two_theta	d_spacing	I (rel.)	hkl
18.3	4.856	34	1 1 -1
18.4	4.814	29	0 0 2
20.5	4.335	59	1 1 -2
26.1	3.419	100	1 1 1
26.5	3.360	44	0 2 1
27.0	3.300	29	2 0 -2
32.9	2.722	33	2 0 0
37.4	2.407	29	0 0 4
38.2	2.354	38	2 2 -1
41.2	2.189	43	1 3 0

Structure:
```
data_Ac2AlGeS6
_chemical_formula_sum 'Ac4 Al2 Ge2 S12'
_space_group_name_H-M_alt 'P 1 21/c 1'
_space_group_IT_number 14
_cell_length_a 6.5990
_cell_length_b 7.1704
_cell_length_c 11.6701
_cell_angle_alpha 90.00
_cell_angle_beta 124.42
_cell_angle_gamma 90.00
loop_
_space_group_symop_operation_xyz
'x,y,z'
'-x,-y,-z'
'-x,y+1/2,-z+1/2'
'x,-y+1/2,z+1/2'
loop_
_atom_site_label
_atom_site_type_symbol
_atom_site_fract_x
_atom_site_fract_y
_atom_site_fract_z
Ac1 Ac 0.2217 0.0920 0.2505
Al1 Al 0.5000 0.0000 0.0000
Ge1 Ge 0.0000 0.0000 0.5000
S1 S 0.1570 0.1828 0.9578
S2 S 0.2689 0.6960 0.9566
S3 S 0.3428 0.0024 0.7564
```